# 1
Diffraction record for Ca2OF2. The powder diffraction line list is computed, not measured: it uses a crystal structure in Alexandria, relaxed with PBE and Cu Kα (weighted mean of Kα1 and Kα2).
Peak positions follow from Bragg's law for the DFT cell and can differ from measured ones.

a = 8.2975 Å, b = 6.4998 Å, c = 5.9237 Å
α = 90.00°, β = 94.85°, γ = 90.00°
Fractional positions:
Ca (0.0417, 0.1184, 0.2314)
Ca (0.0417, 0.3816, 0.7314)
Ca (0.3622, 0.0022, 0.7376)
Ca (0.3622, 0.4978, 0.2376)
Ca (0.6378, 0.5022, 0.7624)
Ca (0.6378, 0.9978, 0.2624)
Ca (0.9583, 0.6184, 0.2686)
Ca (0.9583, 0.8816, 0.7686)
O (0.1563, 0.1084, 0.9049)
O (0.1563, 0.3916, 0.4049)
O (0.8437, 0.6084, 0.5951)
O (0.8437, 0.8916, 0.0951)
F (0.1505, 0.6302, 0.9746)
F (0.1505, 0.8698, 0.4746)
F (0.4936, 0.7485, 0.9877)
F (0.4936, 0.7515, 0.4877)
F (0.5064, 0.2485, 0.5123)
F (0.5064, 0.2515, 0.0123)
F (0.8495, 0.1302, 0.5254)
F (0.8495, 0.3698, 0.0254)

Most intense lines, 10° ≤ 2θ ≤ 80°, sorted by position:
d (Å)  Position (°2θ)  I_rel
4.134  21.50  47
3.767  23.62  58
3.101  28.79  100
2.913  30.69  64
2.659  33.71  81
2.301  39.15  72
2.185  41.32  46
2.104  42.99  82



# 2
Diffraction record for RbCaMnBr5. The powder diffraction line list is computed, not measured: it uses a crystal structure in Alexandria, relaxed with PBE and Cu Kα (weighted mean of Kα1 and Kα2).
Peak positions follow from Bragg's law for the DFT cell and can differ from measured ones.

a = 8.0548 Å, b = 8.0548 Å, c = 10.5225 Å
α = 103.68°, β = 103.68°, γ = 106.35°
Fractional positions:
Rb (0.1576, 0.8424, 0.7500)
Rb (0.8424, 0.1576, 0.2500)
Ca (0.5000, 0.5000, 0.0000)
Ca (0.5000, 0.5000, 0.5000)
Mn (0.1840, 0.8160, 0.2500)
Mn (0.8160, 0.1840, 0.7500)
Br (0.1148, 0.2488, 0.9311)
Br (0.1803, 0.5969, 0.3852)
Br (0.2488, 0.1148, 0.4311)
Br (0.4031, 0.8197, 0.1148)
Br (0.4205, 0.5795, 0.7500)
Br (0.5795, 0.4205, 0.2500)
Br (0.5969, 0.1803, 0.8852)
Br (0.7512, 0.8852, 0.5689)
Br (0.8197, 0.4031, 0.6148)
Br (0.8852, 0.7512, 0.0689)

Most intense lines, 10° ≤ 2θ ≤ 80°, sorted by position:
d (Å)  Position (°2θ)  I_rel
4.818  18.42  44
3.864  23.02  50
3.396  26.24  100
3.383  26.35  61
3.107  28.73  66
3.058  29.20  41
2.098  43.11  51
1.832  49.77  39



# 3
Diffraction record for NaHN. The powder diffraction line list is computed, not measured: it uses a crystal structure in Alexandria, relaxed with PBE and Cu Kα (weighted mean of Kα1 and Kα2).
Peak positions follow from Bragg's law for the DFT cell and can differ from measured ones.

a = 8.9507 Å, b = 3.3729 Å, c = 6.6387 Å
α = 90.00°, β = 99.29°, γ = 90.00°
Fractional positions:
Na (0.1371, 0.2494, 0.4039)
Na (0.1371, 0.2506, 0.9039)
Na (0.8629, 0.7494, 0.0961)
Na (0.8629, 0.7506, 0.5961)
H (0.1376, 0.7498, 0.1543)
H (0.1376, 0.7502, 0.6543)
H (0.8624, 0.2498, 0.3457)
H (0.8624, 0.2502, 0.8457)
N (0.4417, 0.0628, 0.4824)
N (0.4417, 0.4372, 0.9824)
N (0.5583, 0.5628, 0.0176)
N (0.5583, 0.9372, 0.5176)

Most intense lines, 10° ≤ 2θ ≤ 80°, sorted by position:
d (Å)  Position (°2θ)  I_rel
3.276  27.22  74
3.247  27.47  93
3.151  28.32  100
2.944  30.36  91
2.681  33.43  63
2.449  36.70  51
2.350  38.30  74
2.339  38.48  63